Structure and calculated X-ray powder pattern of Tm6Sn3Sb (DFT lattice parameters and positions (PBE); copper Kα).
Lines closer than 0.1° are merged.

Largest 6 diffraction maxima, by angle, 10° ≤ 2θ ≤ 90°:
2θ = 26.60°, d = 3.351 Å, I 39.4, hkl 2 1 -2
2θ = 29.97°, d = 2.981 Å, I 30.0, hkl 1 0 2
2θ = 30.12°, d = 2.967 Å, I 31.3, hkl 1 0 -4
2θ = 30.89°, d = 2.895 Å, I 100.0, hkl 1 2 1
2θ = 32.06°, d = 2.792 Å, I 24.3, hkl 1 1 -4
2θ = 34.84°, d = 2.575 Å, I 46.1, hkl 1 3 -1

```
data_Tm6Sn3Sb
_cell_length_a 7.336
_cell_length_b 8.250
_cell_length_c 12.171
_cell_angle_alpha 90.00
_cell_angle_beta 126.69
_cell_angle_gamma 90.00
_space_group_name_H-M_alt 'P 1'
_space_group_IT_number 1
loop_
_space_group_symop_operation_xyz
'x,y,z'
loop_
_atom_site_label
_atom_site_type_symbol
_atom_site_fract_x
_atom_site_fract_y
_atom_site_fract_z
Tm1 Tm 0.033 0.083 0.250
Tm2 Tm 0.033 0.417 0.750
Tm3 Tm 0.213 0.673 0.061
Tm4 Tm 0.213 0.827 0.561
Tm5 Tm 0.407 0.172 0.061
Tm6 Tm 0.407 0.328 0.561
Tm7 Tm 0.593 0.672 0.439
Tm8 Tm 0.593 0.828 0.939
Tm9 Tm 0.787 0.173 0.439
Tm10 Tm 0.787 0.327 0.939
Tm11 Tm 0.967 0.583 0.250
Tm12 Tm 0.967 0.917 0.750
Sn1 Sn 0.310 0.124 0.753
Sn2 Sn 0.310 0.376 0.253
Sn3 Sn 0.500 0.000 0.500
Sn4 Sn 0.500 0.500 0.000
Sn5 Sn 0.690 0.624 0.747
Sn6 Sn 0.690 0.876 0.247
Sb1 Sb 0.000 0.000 0.000
Sb2 Sb 0.000 0.500 0.500
```